Structure and simulated powder XRD pattern of CaLaGaO4 (DFT lattice parameters and positions (PBE); Cu Kα (weighted mean of Kα1 and Kα2)).

Cell and atoms:
a = 3.8527 Å, b = 3.8527 Å, c = 12.3553 Å
α = 90.00°, β = 90.00°, γ = 90.00°
Sites, in units of the cell vectors:
Ca 0.0000 0.0000 0.0000
Ca 0.5000 0.5000 0.5000
La 0.0000 0.0000 0.7150
La 0.5000 0.5000 0.2150
Ga 0.0000 0.0000 0.3675
Ga 0.5000 0.5000 0.8675
O 0.0000 0.0000 0.1860
O 0.0000 0.0000 0.5286
O 0.0000 0.5000 0.3566
O 0.0000 0.5000 0.8566
O 0.5000 0.0000 0.3566
O 0.5000 0.0000 0.8566
O 0.5000 0.5000 0.0286
O 0.5000 0.5000 0.6860

Principal peaks in the range 15° ≤ 2θ ≤ 90°, in order of falling intensity:
| 2theta | d_spacing | Rel. int. | (hkl) |
| --- | --- | --- | --- |
| 31.81 | 2.814 | 100.0 | 1 0 3 |
| 32.88 | 2.724 | 68.5 | 1 1 0 |
| 47.18 | 1.926 | 37.4 | 2 0 0 |
| 58.03 | 1.589 | 36.9 | 2 1 3 |
| 24.20 | 3.678 | 30.4 | 1 0 1 |
| 43.51 | 2.080 | 21.6 | 1 0 5 |
| 44.34 | 2.043 | 19.7 | 1 1 4 |
| 55.98 | 1.643 | 19.4 | 1 1 6 |
| 66.46 | 1.407 | 16.9 | 2 0 6 |
| 43.97 | 2.059 | 16.0 | 0 0 6 |
| 36.03 | 2.493 | 11.9 | 1 1 2 |
| 66.11 | 1.413 | 11.8 | 2 1 5 |